No. 1
The following is a calculated powder X-ray diffraction pattern of Pm2Zn2Au. It was derived from a GGA-PBE-relaxed structure, using Cu Kα, 1.54184 Å.
Peak positions follow from Bragg's law for the DFT cell and can differ from measured ones.

Cell and atoms:
```
Pm2Zn2Au
1.0
5.229 -2.298 0.000
5.229 2.298 0.000
-4.556 0.000 9.763
Pm Zn Au
4 4 2
Cartesian
-1.297 0.000 3.294
1.528 0.000 1.082
4.373 0.000 8.681
7.198 0.000 6.469
1.804 0.000 4.269
4.545 0.000 1.084
1.355 0.000 8.679
4.097 0.000 5.493
-0.185 0.000 6.471
6.086 0.000 3.292
```

Most intense lines, 2θ = 10–90°, sorted by position:
2θ (°), Rel. int.
30.81, 89
31.70, 65
32.87, 89
35.89, 41
38.78, 100
39.21, 91



No. 2
The following is a calculated powder X-ray diffraction pattern of Pm3Zn2Au. It was derived from a GGA-PBE-relaxed structure, using Cu Kα, 1.54184 Å.
Peak positions follow from Bragg's law for the DFT cell and can differ from measured ones.

Cell and atoms:
```
Pm3Zn2Au
1.0
5.195 0.000 0.000
-2.598 4.499 0.000
0.000 0.000 6.371
Pm Zn Au
3 2 1
Cartesian
0.000 0.000 0.000
0.000 3.000 4.220
2.598 1.500 2.151
0.000 3.000 0.947
2.598 1.500 5.424
0.000 0.000 3.186
```

Most intense lines, 2θ = 10–90°, sorted by position:
2θ (°), Rel. int.
24.22, 6
34.51, 100
49.61, 18
61.83, 37
72.78, 12
83.11, 16



No. 3
The following is a calculated powder X-ray diffraction pattern of Pm2Zn9Au3. It was derived from a GGA-PBE-relaxed structure, using Cu Kα, 1.54184 Å.
Peak positions follow from Bragg's law for the DFT cell and can differ from measured ones.

Cell and atoms:
```
Pm2Zn9Au3
1.0
6.627 -3.999 0.000
6.627 3.999 0.000
0.000 0.000 9.487
Pm Zn Au
4 18 6
Cartesian
2.116 1.265 2.372
2.116 -1.265 7.115
11.138 1.265 2.372
11.138 -1.265 7.115
4.514 2.520 0.867
4.514 2.520 3.876
6.627 2.811 2.372
6.627 1.275 5.258
6.627 1.275 8.973
8.740 2.520 0.867
8.740 2.520 3.876
5.313 0.371 2.372
5.313 -0.371 7.115
7.941 0.371 2.372
7.941 -0.371 7.115
4.514 -2.520 5.611
4.514 -2.520 8.620
6.627 -1.275 0.514
6.627 -1.275 4.229
6.627 -2.811 7.115
8.740 -2.520 5.611
8.740 -2.520 8.620
0.000 0.000 0.000
0.000 0.000 4.744
4.152 0.000 0.000
4.152 0.000 4.744
9.102 0.000 0.000
9.102 0.000 4.744
```

Most intense lines, 2θ = 10–90°, sorted by position:
2θ (°), Rel. int.
29.21, 35
29.81, 81
36.71, 69
37.94, 33
39.48, 100
40.85, 40